[1]
For SmNi4B, DFT lattice parameters and positions (PBE) gives the calculated XRD peak list in this record (Cu Kα X-rays).
Peak positions follow from Bragg's law for the DFT cell and can differ from measured ones.

The 10 most intense peaks (2θ from 10° to 90°), in order of rising 2θ:
2theta, Rel. int.
32.63, 85
35.49, 30
38.35, 13
41.21, 75
44.08, 100
61.93, 27
64.49, 15
68.36, 14
69.71, 24
75.11, 21

Cell lengths 5.0589, 5.0589, 7.0415 Å; angles 90.00, 90.00, 120.00 degrees
Sites, in units of the cell vectors:
Sm: 0.0000 0.0000 0.0000
Sm: 0.0000 0.0000 0.5000
Ni: 0.0000 0.5000 0.2061
Ni: 0.0000 0.5000 0.7939
Ni: 0.3333 0.6667 0.5000
Ni: 0.5000 0.0000 0.2061
Ni: 0.5000 0.0000 0.7939
Ni: 0.5000 0.5000 0.2061
Ni: 0.5000 0.5000 0.7939
Ni: 0.6667 0.3333 0.5000
B: 0.3333 0.6667 0.0000
B: 0.6667 0.3333 0.0000

---

[2]
For IrN2, DFT lattice parameters and positions (PBE) gives the calculated XRD peak list in this record (Cu Kα X-rays).
Peak positions follow from Bragg's law for the DFT cell and can differ from measured ones.

The 10 most intense peaks (2θ from 10° to 90°), in order of rising 2θ:
2theta, Rel. int.
28.33, 100
36.45, 35
37.13, 46
39.16, 62
44.23, 18
54.57, 43
58.60, 16
59.08, 32
60.72, 15
74.63, 14

Cell lengths 4.0955, 4.9303, 2.7801 Å; angles 90.00, 90.00, 90.00 degrees
Sites, in units of the cell vectors:
Ir: 0.0000 0.0000 0.0000
Ir: 0.5000 0.5000 0.5000
N: 0.1281 0.4087 0.0000
N: 0.3719 0.9087 0.5000
N: 0.6281 0.0913 0.5000
N: 0.8719 0.5913 0.0000

---

[3]
For LiCuPO4, DFT lattice parameters and positions (PBE) gives the calculated XRD peak list in this record (Cu Kα X-rays).
Peak positions follow from Bragg's law for the DFT cell and can differ from measured ones.

The 10 most intense peaks (2θ from 10° to 90°), in order of rising 2θ:
2theta, Rel. int.
15.19, 94
19.73, 69
20.77, 100
23.22, 95
23.83, 77
29.70, 41
35.16, 39
35.91, 52
37.13, 77
53.00, 45

Cell lengths 7.6598, 8.9980, 4.8614 Å; angles 90.00, 90.00, 90.00 degrees
Sites, in units of the cell vectors:
Li: 0.0414 0.1302 0.0000
Li: 0.4586 0.6302 0.5000
Li: 0.5414 0.3698 0.0000
Li: 0.9586 0.8698 0.5000
Cu: 0.1653 0.5424 0.0030
Cu: 0.3347 0.0424 0.5030
Cu: 0.6653 0.9576 0.0030
Cu: 0.8347 0.4576 0.5030
P: 0.2287 0.3546 0.5959
P: 0.2713 0.8546 0.0959
P: 0.7287 0.1454 0.5959
P: 0.7713 0.6454 0.0959
O: 0.0536 0.4322 0.7029
O: 0.1355 0.9605 0.2424
O: 0.2255 0.1964 0.7247
O: 0.2491 0.8489 0.7860
O: 0.2509 0.3489 0.2860
O: 0.2745 0.6964 0.2247
O: 0.3645 0.4605 0.7424
O: 0.4464 0.9322 0.2029
O: 0.5536 0.0678 0.7029
O: 0.6355 0.5395 0.2424
O: 0.7255 0.3036 0.7247
O: 0.7491 0.6511 0.7860
O: 0.7509 0.1511 0.2860
O: 0.7745 0.8036 0.2247
O: 0.8645 0.0395 0.7424
O: 0.9464 0.5678 0.2029

---

[4]
For Ti2TcNi, DFT lattice parameters and positions (PBE) gives the calculated XRD peak list in this record (Cu Kα X-rays).
Peak positions follow from Bragg's law for the DFT cell and can differ from measured ones.

The 10 most intense peaks (2θ from 10° to 90°), in order of rising 2θ:
2theta, Rel. int.
25.30, 5
29.29, 10
41.90, 100
49.58, 2
51.94, 3
60.75, 16
66.88, 1
68.85, 4
76.53, 30
82.12, 1

Cell lengths 4.3121, 4.3121, 4.3121 Å; angles 60.00, 60.00, 60.00 degrees
Sites, in units of the cell vectors:
Ti: 0.2500 0.2500 0.2500
Ti: 0.7500 0.7500 0.7500
Tc: 0.0000 0.0000 0.0000
Ni: 0.5000 0.5000 0.5000

---

[5]
For Ti27CuP16, DFT lattice parameters and positions (PBE) gives the calculated XRD peak list in this record (Cu Kα X-rays).
Peak positions follow from Bragg's law for the DFT cell and can differ from measured ones.

The 10 most intense peaks (2θ from 10° to 90°), in order of rising 2θ:
2theta, Rel. int.
34.23, 31
35.81, 50
37.33, 75
39.72, 73
41.07, 26
41.21, 100
41.30, 29
41.69, 68
43.85, 37
53.80, 57

Cell lengths 7.4502, 7.4502, 27.2558 Å; angles 104.24, 104.24, 26.44 degrees
Sites, in units of the cell vectors:
Ti: 0.0000 0.0000 0.0000
Ti: 0.9998 0.9998 0.4991
Ti: 0.0170 0.0170 0.8822
Ti: 0.0177 0.0177 0.3827
Ti: 0.0273 0.0273 0.1258
Ti: 0.0300 0.0300 0.6245
Ti: 0.1608 0.1608 0.2449
Ti: 0.1614 0.1614 0.7458
Ti: 0.2449 0.2449 0.6409
Ti: 0.2514 0.2514 0.1442
Ti: 0.3215 0.3215 0.9789
Ti: 0.3237 0.3237 0.4804
Ti: 0.3911 0.3911 0.3134
Ti: 0.3920 0.3920 0.8135
Ti: 0.4815 0.4815 0.2129
Ti: 0.4819 0.4819 0.7126
Ti: 0.6155 0.6155 0.8319
Ti: 0.6155 0.6155 0.3324
Ti: 0.6259 0.6259 0.0753
Ti: 0.6424 0.6424 0.4599
Ti: 0.6429 0.6429 0.9577
Ti: 0.8191 0.8191 0.3978
Ti: 0.8186 0.8186 0.8977
Ti: 0.8215 0.8215 0.2289
Ti: 0.8205 0.8205 0.7278
Ti: 0.8243 0.8243 0.0601
Ti: 0.8240 0.8240 0.5604
Cu: 0.6257 0.6257 0.5694
P: 0.9997 0.9997 0.2836
P: 0.1914 0.1914 0.8998
P: 0.1921 0.1921 0.4013
P: 0.1930 0.1930 0.0301
P: 0.1930 0.1930 0.5325
P: 0.4497 0.4497 0.9275
P: 0.4509 0.4509 0.4282
P: 0.4516 0.4516 0.0578
P: 0.4559 0.4559 0.5586
P: 0.6427 0.6427 0.6766
P: 0.6436 0.6436 0.1742
P: 0.7598 0.7598 0.3042
P: 0.7611 0.7611 0.8042
P: 0.8815 0.8815 0.6522
P: 0.8831 0.8831 0.1537
P: 0.9994 0.9994 0.7830

---

[6]
For KCa7Si3O12F3, DFT lattice parameters and positions (PBE) gives the calculated XRD peak list in this record (Cu Kα X-rays).
Peak positions follow from Bragg's law for the DFT cell and can differ from measured ones.

The 10 most intense peaks (2θ from 10° to 90°), in order of rising 2θ:
2theta, Rel. int.
24.89, 16
28.28, 34
31.32, 15
32.76, 100
36.76, 16
39.22, 39
40.43, 16
41.56, 28
47.02, 21
50.07, 15

Cell lengths 10.9293, 10.9293, 6.7002 Å; angles 90.00, 90.00, 120.00 degrees
Sites, in units of the cell vectors:
K: 0.3333 0.6667 0.0000
K: 0.6667 0.3333 0.5000
Ca: 0.0000 0.0000 0.4632
Ca: 0.0000 0.0000 0.9632
Ca: 0.0615 0.5189 0.3655
Ca: 0.1750 0.8067 0.6830
Ca: 0.1933 0.3683 0.6830
Ca: 0.3683 0.1933 0.1830
Ca: 0.4574 0.9385 0.3655
Ca: 0.4811 0.5426 0.3655
Ca: 0.5189 0.0615 0.8655
Ca: 0.5426 0.4811 0.8655
Ca: 0.6317 0.8250 0.6830
Ca: 0.8067 0.1750 0.1830
Ca: 0.8250 0.6317 0.1830
Ca: 0.9385 0.4574 0.8655
Si: 0.1540 0.8162 0.1614
Si: 0.1838 0.3378 0.1614
Si: 0.3378 0.1838 0.6614
Si: 0.6622 0.8460 0.1614
Si: 0.8162 0.1540 0.6614
Si: 0.8460 0.6622 0.6614
O: 0.0343 0.8609 0.2203
O: 0.0564 0.3431 0.0361
O: 0.0732 0.6708 0.0259
O: 0.1391 0.1734 0.2203
O: 0.1734 0.1391 0.7203
O: 0.2181 0.7709 0.3532
O: 0.2291 0.4472 0.3532
O: 0.2868 0.9436 0.0361
O: 0.3292 0.4024 0.0259
O: 0.3431 0.0564 0.5361
O: 0.4024 0.3292 0.5259
O: 0.4472 0.2291 0.8532
O: 0.5528 0.7819 0.3532
O: 0.5976 0.9268 0.0259
O: 0.6569 0.7132 0.0361
O: 0.6708 0.0732 0.5259
O: 0.7132 0.6569 0.5361
O: 0.7709 0.2181 0.8532
O: 0.7819 0.5528 0.8532
O: 0.8266 0.9657 0.2203
O: 0.8609 0.0343 0.7203
O: 0.9268 0.5976 0.5259
O: 0.9436 0.2868 0.5361
O: 0.9657 0.8266 0.7203
F: 0.1516 0.5632 0.6939
F: 0.4116 0.8484 0.6939
F: 0.4368 0.5884 0.6939
F: 0.5632 0.1516 0.1939
F: 0.5884 0.4368 0.1939
F: 0.8484 0.4116 0.1939

---

[7]
For MgGa2O4, DFT lattice parameters and positions (PBE) gives the calculated XRD peak list in this record (Cu Kα X-rays).
Peak positions follow from Bragg's law for the DFT cell and can differ from measured ones.

The 10 most intense peaks (2θ from 10° to 90°), in order of rising 2θ:
2theta, Rel. int.
18.17, 85
35.20, 100
36.82, 25
42.77, 59
46.83, 11
56.55, 39
62.09, 56
65.27, 14
74.41, 14
88.89, 19

Cell lengths 5.9798, 5.9798, 5.9798 Å; angles 60.00, 60.00, 60.00 degrees
Sites, in units of the cell vectors:
Mg: 0.1250 0.1250 0.1250
Mg: 0.8750 0.8750 0.8750
Ga: 0.0000 0.5000 0.5000
Ga: 0.5000 0.0000 0.5000
Ga: 0.5000 0.5000 0.0000
Ga: 0.5000 0.5000 0.5000
O: 0.2611 0.2611 0.2611
O: 0.2611 0.2611 0.7167
O: 0.2611 0.7167 0.2611
O: 0.2833 0.7389 0.7389
O: 0.7167 0.2611 0.2611
O: 0.7389 0.2833 0.7389
O: 0.7389 0.7389 0.2833
O: 0.7389 0.7389 0.7389

---

[8]
For Zn3Rh2C12N12, DFT lattice parameters and positions (PBE) gives the calculated XRD peak list in this record (Cu Kα X-rays).
Peak positions follow from Bragg's law for the DFT cell and can differ from measured ones.

The 10 most intense peaks (2θ from 10° to 90°), in order of rising 2θ:
2theta, Rel. int.
14.42, 11
16.67, 100
23.66, 64
33.71, 40
37.83, 29
41.60, 20
48.41, 20
51.56, 14
54.57, 21
65.69, 18

Cell lengths 7.5216, 7.5216, 10.6339 Å; angles 90.00, 90.00, 90.00 degrees
Sites, in units of the cell vectors:
Zn: 0.0000 0.0000 0.0000
Zn: 0.0000 0.5000 0.2527
Zn: 0.5000 0.0000 0.7473
Rh: 0.0000 0.5000 0.7496
Rh: 0.5000 0.0000 0.2504
C: 0.0000 0.5000 0.5607
C: 0.0000 0.5000 0.9385
C: 0.1889 0.3109 0.7497
C: 0.1889 0.6891 0.7497
C: 0.3109 0.1889 0.2503
C: 0.3109 0.8111 0.2503
C: 0.5000 0.0000 0.0615
C: 0.5000 0.0000 0.4393
C: 0.6891 0.1889 0.2503
C: 0.6891 0.8111 0.2503
C: 0.8111 0.3109 0.7497
C: 0.8111 0.6891 0.7497
N: 0.0000 0.5000 0.0487
N: 0.0000 0.5000 0.4507
N: 0.2001 0.2978 0.2486
N: 0.2001 0.7022 0.2486
N: 0.2978 0.2001 0.7514
N: 0.2978 0.7999 0.7514
N: 0.5000 0.0000 0.5493
N: 0.5000 0.0000 0.9513
N: 0.7022 0.2001 0.7514
N: 0.7022 0.7999 0.7514
N: 0.7999 0.2978 0.2486
N: 0.7999 0.7022 0.2486